Record 1
Diffraction record for Cu5Se4. The powder diffraction line list is computed, not measured: it uses a PBE-relaxed structure and Cu Kα (λ = 1.5418 Å).
Neutral-atom scattering factors, no anomalous dispersion.

Structural model:
```
data_Cu5Se4
_space_group_name_H-M_alt 'P 1 21/c 1'
_space_group_IT_number 14
_cell_length_a 6.628
_cell_length_b 4.253
_cell_length_c 11.472
_cell_angle_alpha 90.00
_cell_angle_beta 101.67
_cell_angle_gamma 90.00
loop_
_space_group_symop_operation_xyz
'x,y,z'
'-x,-y,-z'
'-x,y+1/2,-z+1/2'
'x,-y+1/2,z+1/2'
loop_
_atom_site_label
_atom_site_type_symbol
_atom_site_fract_x
_atom_site_fract_y
_atom_site_fract_z
Cu1 Cu 0.000 0.000 0.000
Cu2 Cu 0.241 0.087 0.726
Cu3 Cu 0.326 0.657 0.016
Se1 Se 0.081 0.127 0.370
Se2 Se 0.463 0.121 0.127
```

Main lines, most intense first (2θ = 10–90°):
| two_theta | I_rel |
| --- | --- |
| 32.74 | 100 |
| 31.22 | 95 |
| 51.10 | 53 |
| 49.32 | 47 |
| 34.60 | 31 |
| 50.38 | 30 |

Record 2
Diffraction record for Cu2Se. The powder diffraction line list is computed, not measured: it uses a PBE-relaxed structure and Cu Kα (λ = 1.5418 Å).
Neutral-atom scattering factors, no anomalous dispersion.

Structural model:
```
data_Cu2Se
_space_group_name_H-M_alt 'P 1 21 1'
_space_group_IT_number 4
_cell_length_a 4.310
_cell_length_b 5.101
_cell_length_c 5.062
_cell_angle_alpha 90.00
_cell_angle_beta 94.66
_cell_angle_gamma 90.00
loop_
_space_group_symop_operation_xyz
'x,y,z'
'-x,y+1/2,-z'
loop_
_atom_site_label
_atom_site_type_symbol
_atom_site_fract_x
_atom_site_fract_y
_atom_site_fract_z
Cu1 Cu 0.006 0.000 0.442
Cu2 Cu 0.038 0.142 0.946
Se1 Se 0.339 0.803 0.772
```

Main lines, most intense first (2θ = 10–90°):
| two_theta | I_rel |
| --- | --- |
| 20.68 | 100 |
| 45.81 | 70 |
| 41.16 | 60 |
| 39.90 | 54 |
| 43.87 | 51 |
| 24.82 | 50 |

Record 3
Diffraction record for Cu2Se. The powder diffraction line list is computed, not measured: it uses a PBE-relaxed structure and Cu Kα (λ = 1.5418 Å).
Neutral-atom scattering factors, no anomalous dispersion.

Structural model:
```
data_Cu2Se
_space_group_name_H-M_alt 'P 43 21 2'
_space_group_IT_number 96
_cell_length_a 4.267
_cell_length_b 4.267
_cell_length_c 10.899
_cell_angle_alpha 90.00
_cell_angle_beta 90.00
_cell_angle_gamma 90.00
loop_
_space_group_symop_operation_xyz
'x,y,z'
'-y+1/2,x+1/2,z+3/4'
'-x,-y,z+1/2'
'y+1/2,-x+1/2,z+1/4'
'x+1/2,-y+1/2,-z+1/4'
'-y,-x,-z+1/2'
'-x+1/2,y+1/2,-z+3/4'
'y,x,-z'
loop_
_atom_site_label
_atom_site_type_symbol
_atom_site_fract_x
_atom_site_fract_y
_atom_site_fract_z
Cu1 Cu 0.077 0.397 0.082
Se1 Se 0.095 0.095 0.500
```

Main lines, most intense first (2θ = 10–90°):
| two_theta | I_rel |
| --- | --- |
| 26.53 | 100 |
| 48.42 | 100 |
| 39.23 | 78 |
| 49.55 | 71 |
| 44.82 | 49 |
| 30.75 | 48 |

Record 4
Diffraction record for TlCuSiTeSe2. The powder diffraction line list is computed, not measured: it uses a PBE-relaxed structure and Cu Kα (λ = 1.5418 Å).
Neutral-atom scattering factors, no anomalous dispersion.

Structural model:
```
data_TlCuSiTeSe2
_space_group_name_H-M_alt 'C m c m'
_space_group_IT_number 63
_space_group_name_Hall '-C 2c 2'
_cell_length_a 3.548
_cell_length_b 15.124
_cell_length_c 10.830
_cell_angle_alpha 90.00
_cell_angle_beta 90.00
_cell_angle_gamma 90.00
loop_
_atom_site_label
_atom_site_type_symbol
_atom_site_fract_x
_atom_site_fract_y
_atom_site_fract_z
Tl1 Tl 0.000 0.250 0.250
Cu1 Cu 0.000 0.085 0.750
Si1 Si 0.000 0.500 0.000
Te1 Te 0.000 0.449 0.750
Se1 Se 0.000 0.117 0.534
```

Main lines, most intense first (2θ = 10–90°):
| two_theta | I_rel |
| --- | --- |
| 31.93 | 100 |
| 28.80 | 40 |
| 33.09 | 40 |
| 16.37 | 36 |
| 52.74 | 36 |
| 39.86 | 30 |

Record 5
Diffraction record for ZnCu2SiTe3Se. The powder diffraction line list is computed, not measured: it uses a PBE-relaxed structure and Cu Kα (λ = 1.5418 Å).
Neutral-atom scattering factors, no anomalous dispersion.

Structural model:
```
data_ZnCu2SiTe3Se
_space_group_name_H-M_alt 'C 1 m 1'
_space_group_IT_number 8
_cell_length_a 8.342
_cell_length_b 8.396
_cell_length_c 7.175
_cell_angle_alpha 90.00
_cell_angle_beta 125.01
_cell_angle_gamma 90.00
loop_
_space_group_symop_operation_xyz
'x,y,z'
'x,-y,z'
'x+1/2,y+1/2,z'
'x+1/2,-y+1/2,z'
loop_
_atom_site_label
_atom_site_type_symbol
_atom_site_fract_x
_atom_site_fract_y
_atom_site_fract_z
Zn1 Zn 0.000 0.000 0.000
Cu1 Cu 0.019 0.263 0.520
Si1 Si 0.023 0.500 0.000
Te1 Te 0.144 0.258 0.266
Te2 Te 0.145 0.000 0.744
Se1 Se 0.128 0.500 0.756
```

Main lines, most intense first (2θ = 10–90°):
| two_theta | I_rel |
| --- | --- |
| 26.09 | 100 |
| 26.32 | 35 |
| 43.25 | 31 |
| 43.55 | 30 |
| 51.20 | 21 |
| 51.47 | 19 |

Record 6
Diffraction record for SmCuSnTe2Se. The powder diffraction line list is computed, not measured: it uses a PBE-relaxed structure and Cu Kα (λ = 1.5418 Å).
Neutral-atom scattering factors, no anomalous dispersion.

Structural model:
```
data_SmCuSnTe2Se
_space_group_name_H-M_alt 'C m c m'
_space_group_IT_number 63
_space_group_name_Hall '-C 2c 2'
_cell_length_a 4.244
_cell_length_b 14.360
_cell_length_c 10.775
_cell_angle_alpha 90.00
_cell_angle_beta 90.00
_cell_angle_gamma 90.00
loop_
_atom_site_label
_atom_site_type_symbol
_atom_site_fract_x
_atom_site_fract_y
_atom_site_fract_z
Sm1 Sm 0.000 0.000 0.000
Cu1 Cu 0.000 0.475 0.250
Sn1 Sn 0.000 0.256 0.750
Te1 Te 0.000 0.349 0.069
Se1 Se 0.000 0.076 0.250
```

Main lines, most intense first (2θ = 10–90°):
| two_theta | I_rel |
| --- | --- |
| 32.74 | 100 |
| 33.27 | 90 |
| 29.32 | 80 |
| 28.10 | 80 |
| 27.77 | 53 |
| 42.61 | 47 |

Record 7
Diffraction record for ZnCu2SnTe2Se2. The powder diffraction line list is computed, not measured: it uses a PBE-relaxed structure and Cu Kα (λ = 1.5418 Å).
Neutral-atom scattering factors, no anomalous dispersion.

Structural model:
```
data_ZnCu2SnTe2Se2
_space_group_name_H-M_alt 'F m m 2'
_space_group_IT_number 42
_space_group_name_Hall 'F 2 -2'
_cell_length_a 8.393
_cell_length_b 8.470
_cell_length_c 11.917
_cell_angle_alpha 90.00
_cell_angle_beta 90.00
_cell_angle_gamma 90.00
loop_
_atom_site_label
_atom_site_type_symbol
_atom_site_fract_x
_atom_site_fract_y
_atom_site_fract_z
Zn1 Zn 0.000 0.000 0.000
Cu1 Cu 0.250 0.250 0.271
Sn1 Sn 0.000 0.000 0.503
Te1 Te 0.000 0.237 0.146
Se1 Se 0.242 0.000 0.874
```

Main lines, most intense first (2θ = 10–90°):
| two_theta | I_rel |
| --- | --- |
| 25.81 | 100 |
| 25.97 | 93 |
| 42.92 | 92 |
| 50.93 | 30 |
| 50.66 | 28 |
| 50.82 | 26 |

Record 8
Diffraction record for ZnCu2SnTe2Se2. The powder diffraction line list is computed, not measured: it uses a PBE-relaxed structure and Cu Kα (λ = 1.5418 Å).
Neutral-atom scattering factors, no anomalous dispersion.

Structural model:
```
data_ZnCu2SnTe2Se2
_space_group_name_H-M_alt 'C 1 2 1'
_space_group_IT_number 5
_cell_length_a 13.309
_cell_length_b 5.960
_cell_length_c 5.956
_cell_angle_alpha 90.00
_cell_angle_beta 116.49
_cell_angle_gamma 90.00
loop_
_space_group_symop_operation_xyz
'x,y,z'
'-x,y,-z'
'x+1/2,y+1/2,z'
'-x+1/2,y+1/2,-z'
loop_
_atom_site_label
_atom_site_type_symbol
_atom_site_fract_x
_atom_site_fract_y
_atom_site_fract_z
Zn1 Zn 0.000 0.000 0.000
Cu1 Cu 0.250 0.477 0.273
Sn1 Sn 0.000 0.455 0.500
Te1 Te 0.138 0.738 0.897
Se1 Se 0.135 0.218 0.374
```

Main lines, most intense first (2θ = 10–90°):
| two_theta | I_rel |
| --- | --- |
| 25.91 | 100 |
| 42.94 | 73 |
| 50.84 | 43 |
| 78.66 | 14 |
| 68.66 | 13 |
| 62.35 | 11 |

Record 9
Diffraction record for Cu6SnWSe8. The powder diffraction line list is computed, not measured: it uses a PBE-relaxed structure and Cu Kα (λ = 1.5418 Å).
Neutral-atom scattering factors, no anomalous dispersion.

Structural model:
```
data_Cu6SnWSe8
_space_group_name_H-M_alt 'F -4 3 m'
_space_group_IT_number 216
_space_group_name_Hall 'F -4 2 3'
_cell_length_a 11.355
_cell_length_b 11.355
_cell_length_c 11.355
_cell_angle_alpha 90.00
_cell_angle_beta 90.00
_cell_angle_gamma 90.00
loop_
_atom_site_label
_atom_site_type_symbol
_atom_site_fract_x
_atom_site_fract_y
_atom_site_fract_z
Cu1 Cu 0.000 0.000 0.248
Sn1 Sn 0.250 0.250 0.750
W1 W 0.000 0.000 0.000
Se1 Se 0.118 0.118 0.618
Se2 Se 0.123 0.123 0.123
```

Main lines, most intense first (2θ = 10–90°):
| two_theta | I_rel |
| --- | --- |
| 45.17 | 100 |
| 27.20 | 79 |
| 53.53 | 34 |
| 13.51 | 32 |
| 83.39 | 32 |
| 15.61 | 23 |

Record 10
Diffraction record for Sr2CuTcSe6. The powder diffraction line list is computed, not measured: it uses a PBE-relaxed structure and Cu Kα (λ = 1.5418 Å).
Neutral-atom scattering factors, no anomalous dispersion.

Structural model:
```
data_Sr2CuTcSe6
_space_group_name_H-M_alt 'P -1'
_space_group_IT_number 2
_cell_length_a 6.098
_cell_length_b 6.693
_cell_length_c 6.742
_cell_angle_alpha 90.99
_cell_angle_beta 111.82
_cell_angle_gamma 108.84
loop_
_space_group_symop_operation_xyz
'x,y,z'
'-x,-y,-z'
loop_
_atom_site_label
_atom_site_type_symbol
_atom_site_fract_x
_atom_site_fract_y
_atom_site_fract_z
Sr1 Sr 0.037 0.279 0.285
Cu1 Cu 0.500 0.500 0.000
Tc1 Tc 0.500 0.000 0.500
Se1 Se 0.054 0.809 0.216
Se2 Se 0.404 0.157 0.779
Se3 Se 0.418 0.647 0.665
```

Main lines, most intense first (2θ = 10–90°):
| two_theta | I_rel |
| --- | --- |
| 33.87 | 100 |
| 29.93 | 86 |
| 40.20 | 79 |
| 37.58 | 69 |
| 28.89 | 56 |
| 35.84 | 55 |

Record 11
Diffraction record for Ta2CuSe5. The powder diffraction line list is computed, not measured: it uses a PBE-relaxed structure and Cu Kα (λ = 1.5418 Å).
Neutral-atom scattering factors, no anomalous dispersion.

Structural model:
```
data_Ta2CuSe5
_space_group_name_H-M_alt 'C m c m'
_space_group_IT_number 63
_space_group_name_Hall '-C 2c 2'
_cell_length_a 3.540
_cell_length_b 13.660
_cell_length_c 15.740
_cell_angle_alpha 90.00
_cell_angle_beta 90.00
_cell_angle_gamma 90.00
loop_
_atom_site_label
_atom_site_type_symbol
_atom_site_fract_x
_atom_site_fract_y
_atom_site_fract_z
Ta1 Ta 0.000 0.220 0.103
Cu1 Cu 0.000 0.304 0.750
Se1 Se 0.000 0.149 0.553
Se2 Se 0.000 0.318 0.250
Se3 Se 0.000 0.413 0.633
```

Main lines, most intense first (2θ = 10–90°):
| two_theta | I_rel |
| --- | --- |
| 12.96 | 100 |
| 36.42 | 37 |
| 32.54 | 24 |
| 48.00 | 24 |
| 34.04 | 22 |
| 48.42 | 17 |

Record 12
Diffraction record for TaCu3Te2Se2. The powder diffraction line list is computed, not measured: it uses a PBE-relaxed structure and Cu Kα (λ = 1.5418 Å).
Neutral-atom scattering factors, no anomalous dispersion.

Structural model:
```
data_TaCu3Te2Se2
_space_group_name_H-M_alt 'C m m 2'
_space_group_IT_number 35
_cell_length_a 8.160
_cell_length_b 8.361
_cell_length_c 5.818
_cell_angle_alpha 90.00
_cell_angle_beta 90.00
_cell_angle_gamma 90.00
loop_
_space_group_symop_operation_xyz
'x,y,z'
'-x,-y,z'
'-x,y,z'
'x,-y,z'
'x+1/2,y+1/2,z'
'-x+1/2,-y+1/2,z'
'-x+1/2,y+1/2,z'
'x+1/2,-y+1/2,z'
loop_
_atom_site_label
_atom_site_type_symbol
_atom_site_fract_x
_atom_site_fract_y
_atom_site_fract_z
Ta1 Ta 0.000 0.000 0.000
Cu1 Cu 0.000 0.000 0.494
Cu2 Cu 0.250 0.250 0.006
Te1 Te 0.233 0.500 0.736
Se1 Se 0.000 0.240 0.244
```

Main lines, most intense first (2θ = 10–90°):
| two_theta | I_rel |
| --- | --- |
| 43.94 | 100 |
| 15.19 | 98 |
| 26.25 | 56 |
| 26.69 | 50 |
| 34.40 | 48 |
| 43.28 | 26 |

Record 13
Diffraction record for Ta2Tl3Cu3Se8. The powder diffraction line list is computed, not measured: it uses a PBE-relaxed structure and Cu Kα (λ = 1.5418 Å).
Neutral-atom scattering factors, no anomalous dispersion.

Structural model:
```
data_Ta2Tl3Cu3Se8
_space_group_name_H-M_alt 'C 1 2 1'
_space_group_IT_number 5
_cell_length_a 20.404
_cell_length_b 5.732
_cell_length_c 7.716
_cell_angle_alpha 90.00
_cell_angle_beta 95.88
_cell_angle_gamma 90.00
loop_
_space_group_symop_operation_xyz
'x,y,z'
'-x,y,-z'
'x+1/2,y+1/2,z'
'-x+1/2,y+1/2,-z'
loop_
_atom_site_label
_atom_site_type_symbol
_atom_site_fract_x
_atom_site_fract_y
_atom_site_fract_z
Ta1 Ta 0.128 0.000 0.190
Tl1 Tl 0.000 0.773 0.500
Tl2 Tl 0.188 0.223 0.717
Cu1 Cu 0.000 0.997 0.000
Cu2 Cu 0.125 0.500 0.182
Se1 Se 0.034 0.240 0.257
Se2 Se 0.095 0.762 0.932
Se3 Se 0.162 0.746 0.435
Se4 Se 0.218 0.248 0.130
```

Main lines, most intense first (2θ = 10–90°):
| two_theta | I_rel |
| --- | --- |
| 28.70 | 100 |
| 28.44 | 58 |
| 34.24 | 52 |
| 49.74 | 40 |
| 49.25 | 40 |
| 27.71 | 39 |